No. 1
Tm8ScCd2: calculated powder diffractogram (Cu Kα), based on the GGA-PBE geometry in Alexandria.
Intensities are scaled so that the largest is 100.

a = 8.577 Å, b = 8.577 Å, c = 5.403 Å
α = 101.09°, β = 101.09°, γ = 119.42°
Sites, in units of the cell vectors:
Tm  0.094  0.318  0.614
Tm  0.215  0.785  0.000
Tm  0.318  0.094  0.614
Tm  0.391  0.391  0.200
Tm  0.609  0.609  0.800
Tm  0.682  0.906  0.386
Tm  0.785  0.215  0.000
Tm  0.906  0.682  0.386
Sc  0.000  0.000  0.000
Cd  0.306  0.694  0.500
Cd  0.694  0.306  0.500

The 10 most intense peaks (10 to 90 degrees two-theta), by angle:
3.519 Å, 25.31 deg, I 33
2.975 Å, 30.04 deg, I 65
2.938 Å, 30.42 deg, I 61
2.795 Å, 32.03 deg, I 92
2.717 Å, 32.97 deg, I 64
2.665 Å, 33.63 deg, I 49
2.650 Å, 33.82 deg, I 57
2.577 Å, 34.81 deg, I 100
2.464 Å, 36.46 deg, I 33
1.424 Å, 65.56 deg, I 33

---

No. 2
ScCd2W: calculated powder diffractogram (Cu Kα), based on the GGA-PBE geometry in Alexandria.
Intensities are scaled so that the largest is 100.

a = 4.236 Å, b = 4.236 Å, c = 4.295 Å
α = 90.00°, β = 90.00°, γ = 90.00°
Sites, in units of the cell vectors:
Sc  0.000  0.000  0.000
Cd  0.000  0.500  0.500
Cd  0.500  0.000  0.500
W  0.500  0.500  0.000

The 10 most intense peaks (10 to 90 degrees two-theta), by angle:
4.236 Å, 20.97 deg, I 18
3.016 Å, 29.62 deg, I 15
2.457 Å, 36.57 deg, I 100
2.148 Å, 42.07 deg, I 17
2.118 Å, 42.69 deg, I 32
1.508 Å, 61.49 deg, I 21
1.498 Å, 61.96 deg, I 10
1.292 Å, 73.28 deg, I 12
1.279 Å, 74.14 deg, I 24
1.229 Å, 77.74 deg, I 11

---

No. 3
Y4ScCd5: calculated powder diffractogram (Cu Kα), based on the GGA-PBE geometry in Alexandria.
Intensities are scaled so that the largest is 100.

a = 3.704 Å, b = 3.704 Å, c = 18.610 Å
α = 90.00°, β = 90.00°, γ = 90.00°
Sites, in units of the cell vectors:
Y  0.000  0.000  0.102
Y  0.000  0.000  0.307
Y  0.000  0.000  0.693
Y  0.000  0.000  0.898
Sc  0.000  0.000  0.500
Cd  0.500  0.500  0.000
Cd  0.500  0.500  0.204
Cd  0.500  0.500  0.411
Cd  0.500  0.500  0.589
Cd  0.500  0.500  0.796

The 10 most intense peaks (10 to 90 degrees two-theta), by angle:
3.704 Å, 24.03 deg, I 2
2.623 Å, 34.18 deg, I 100
1.861 Å, 48.95 deg, I 5
1.852 Å, 49.20 deg, I 12
1.517 Å, 61.08 deg, I 10
1.513 Å, 61.25 deg, I 23
1.313 Å, 71.93 deg, I 6
1.310 Å, 72.13 deg, I 4
1.176 Å, 81.89 deg, I 3
1.172 Å, 82.29 deg, I 10

---

No. 4
Sc3ZnCd12: calculated powder diffractogram (Cu Kα), based on the GGA-PBE geometry in Alexandria.
Intensities are scaled so that the largest is 100.

a = 4.484 Å, b = 4.484 Å, c = 17.150 Å
α = 90.00°, β = 90.00°, γ = 90.00°
Sites, in units of the cell vectors:
Sc  0.000  0.000  0.000
Sc  0.000  0.000  0.258
Sc  0.000  0.000  0.742
Zn  0.000  0.000  0.500
Cd  0.000  0.500  0.128
Cd  0.000  0.500  0.383
Cd  0.000  0.500  0.617
Cd  0.000  0.500  0.872
Cd  0.500  0.000  0.128
Cd  0.500  0.000  0.383
Cd  0.500  0.000  0.617
Cd  0.500  0.000  0.872
Cd  0.500  0.500  0.000
Cd  0.500  0.500  0.256
Cd  0.500  0.500  0.500
Cd  0.500  0.500  0.744

The 10 most intense peaks (10 to 90 degrees two-theta), by angle:
4.484 Å, 19.80 deg, I 5
3.099 Å, 28.81 deg, I 4
2.549 Å, 35.20 deg, I 100
2.242 Å, 40.22 deg, I 35
2.144 Å, 42.15 deg, I 14
1.585 Å, 58.19 deg, I 11
1.549 Å, 59.68 deg, I 19
1.346 Å, 69.87 deg, I 25
1.303 Å, 72.55 deg, I 10
1.275 Å, 74.43 deg, I 10

---

No. 5
Sc3Zn7Cd: calculated powder diffractogram (Cu Kα), based on the GGA-PBE geometry in Alexandria.
Intensities are scaled so that the largest is 100.

a = 9.910 Å, b = 9.910 Å, c = 13.078 Å
α = 90.00°, β = 90.00°, γ = 161.34°
Sites, in units of the cell vectors:
Sc  0.116  0.884  0.549
Sc  0.116  0.884  0.951
Sc  0.255  0.745  0.250
Sc  0.745  0.255  0.750
Sc  0.884  0.116  0.049
Sc  0.884  0.116  0.451
Zn  0.261  0.739  0.570
Zn  0.261  0.739  0.930
Zn  0.370  0.630  0.652
Zn  0.370  0.630  0.848
Zn  0.403  0.597  0.250
Zn  0.495  0.505  0.590
Zn  0.495  0.505  0.910
Zn  0.505  0.495  0.090
Zn  0.505  0.495  0.410
Zn  0.597  0.403  0.750
Zn  0.630  0.370  0.152
Zn  0.630  0.370  0.348
Zn  0.739  0.261  0.070
Zn  0.739  0.261  0.430
Cd  0.030  0.970  0.250
Cd  0.970  0.030  0.750

The 10 most intense peaks (10 to 90 degrees two-theta), by angle:
7.832 Å, 11.30 deg, I 37
2.637 Å, 33.99 deg, I 59
2.564 Å, 34.99 deg, I 100
2.443 Å, 36.79 deg, I 87
2.321 Å, 38.80 deg, I 69
2.276 Å, 39.60 deg, I 39
2.158 Å, 41.86 deg, I 36
2.040 Å, 44.41 deg, I 39
1.991 Å, 45.56 deg, I 40
1.936 Å, 46.94 deg, I 32

---

No. 6
Sc3Zn4Cd: calculated powder diffractogram (Cu Kα), based on the GGA-PBE geometry in Alexandria.
Intensities are scaled so that the largest is 100.

a = 4.642 Å, b = 4.642 Å, c = 6.864 Å
α = 90.00°, β = 90.00°, γ = 90.00°
Sites, in units of the cell vectors:
Sc  0.000  0.000  0.000
Sc  0.000  0.000  0.500
Sc  0.500  0.500  0.000
Zn  0.000  0.500  0.253
Zn  0.000  0.500  0.747
Zn  0.500  0.000  0.253
Zn  0.500  0.000  0.747
Cd  0.500  0.500  0.500

The 10 most intense peaks (10 to 90 degrees two-theta), by angle:
6.864 Å, 12.90 deg, I 6
4.642 Å, 19.12 deg, I 5
3.845 Å, 23.13 deg, I 6
2.372 Å, 37.93 deg, I 100
2.321 Å, 38.80 deg, I 47
1.716 Å, 53.39 deg, I 9
1.641 Å, 56.03 deg, I 15
1.380 Å, 67.93 deg, I 16
1.350 Å, 69.66 deg, I 30
1.186 Å, 81.07 deg, I 10

---

No. 7
Sc4ZnCd: calculated powder diffractogram (Cu Kα), based on the GGA-PBE geometry in Alexandria.
Intensities are scaled so that the largest is 100.

a = 3.281 Å, b = 3.281 Å, c = 12.257 Å
α = 90.00°, β = 90.00°, γ = 90.00°
Sites, in units of the cell vectors:
Sc  0.000  0.000  0.144
Sc  0.000  0.000  0.856
Sc  0.500  0.500  0.331
Sc  0.500  0.500  0.669
Zn  0.500  0.500  0.000
Cd  0.000  0.000  0.500

The 10 most intense peaks (10 to 90 degrees two-theta), by angle:
6.128 Å, 14.45 deg, I 22
3.169 Å, 28.16 deg, I 10
2.558 Å, 35.08 deg, I 100
2.320 Å, 38.82 deg, I 39
2.043 Å, 44.34 deg, I 11
1.640 Å, 56.06 deg, I 12
1.533 Å, 60.38 deg, I 18
1.381 Å, 67.87 deg, I 26
1.279 Å, 74.14 deg, I 11
1.258 Å, 75.57 deg, I 10

---

No. 8
Sc3Zn2Cd3: calculated powder diffractogram (Cu Kα), based on the GGA-PBE geometry in Alexandria.
Intensities are scaled so that the largest is 100.

a = 7.342 Å, b = 7.342 Å, c = 3.530 Å
α = 90.00°, β = 90.00°, γ = 120.00°
Sites, in units of the cell vectors:
Sc  0.000  0.592  0.000
Sc  0.408  0.408  0.000
Sc  0.592  0.000  0.000
Zn  0.333  0.667  0.500
Zn  0.667  0.333  0.500
Cd  0.000  0.238  0.500
Cd  0.238  0.000  0.500
Cd  0.762  0.762  0.500

The 10 most intense peaks (10 to 90 degrees two-theta), by angle:
3.530 Å, 25.23 deg, I 42
2.544 Å, 35.28 deg, I 87
2.403 Å, 37.42 deg, I 100
2.362 Å, 38.10 deg, I 48
2.119 Å, 42.66 deg, I 18
1.986 Å, 45.67 deg, I 57
1.765 Å, 51.81 deg, I 19
1.422 Å, 65.63 deg, I 35
1.348 Å, 69.76 deg, I 21
1.291 Å, 73.31 deg, I 20

---

No. 9
Sc2Zn3Cd: calculated powder diffractogram (Cu Kα), based on the GGA-PBE geometry in Alexandria.
Intensities are scaled so that the largest is 100.

a = 8.995 Å, b = 8.421 Å, c = 5.517 Å
α = 77.29°, β = 65.96°, γ = 36.75°
Sites, in units of the cell vectors:
Sc  0.247  0.753  0.753
Sc  0.250  0.250  0.250
Sc  0.750  0.750  0.750
Sc  0.753  0.247  0.247
Zn  0.162  0.162  0.838
Zn  0.162  0.675  0.325
Zn  0.325  0.838  0.162
Zn  0.675  0.162  0.838
Zn  0.838  0.325  0.675
Zn  0.838  0.838  0.162
Cd  0.334  0.334  0.666
Cd  0.666  0.666  0.334

The 10 most intense peaks (10 to 90 degrees two-theta), by angle:
3.894 Å, 22.83 deg, I 13
3.196 Å, 27.91 deg, I 29
2.471 Å, 36.36 deg, I 98
2.248 Å, 40.10 deg, I 100
1.839 Å, 49.57 deg, I 36
1.663 Å, 55.24 deg, I 27
1.598 Å, 57.68 deg, I 11
1.337 Å, 70.42 deg, I 25
1.303 Å, 72.57 deg, I 31
1.298 Å, 72.86 deg, I 15

---

No. 10
ScZn10Cd: calculated powder diffractogram (Cu Kα), based on the GGA-PBE geometry in Alexandria.
Intensities are scaled so that the largest is 100.

a = 4.270 Å, b = 5.173 Å, c = 9.044 Å
α = 90.00°, β = 90.00°, γ = 90.00°
Sites, in units of the cell vectors:
Sc  0.000  0.000  0.000
Zn  0.000  0.000  0.335
Zn  0.000  0.000  0.665
Zn  0.000  0.500  0.174
Zn  0.000  0.500  0.826
Zn  0.500  0.000  0.500
Zn  0.500  0.240  0.236
Zn  0.500  0.240  0.764
Zn  0.500  0.500  0.000
Zn  0.500  0.760  0.236
Zn  0.500  0.760  0.764
Cd  0.000  0.500  0.500

The 10 most intense peaks (10 to 90 degrees two-theta), by angle:
3.097 Å, 28.83 deg, I 27
2.605 Å, 34.43 deg, I 20
2.245 Å, 40.17 deg, I 27
2.224 Å, 40.57 deg, I 100
2.212 Å, 40.79 deg, I 48
2.135 Å, 42.33 deg, I 48
1.987 Å, 45.65 deg, I 35
1.412 Å, 66.16 deg, I 20
1.302 Å, 72.59 deg, I 16
1.112 Å, 87.80 deg, I 19

---

No. 11
Zr3Sc2Cd: calculated powder diffractogram (Cu Kα), based on the GGA-PBE geometry in Alexandria.
Intensities are scaled so that the largest is 100.

a = 7.555 Å, b = 7.555 Å, c = 4.999 Å
α = 90.03°, β = 90.03°, γ = 103.48°
Sites, in units of the cell vectors:
Zr  0.055  0.945  0.750
Zr  0.282  0.385  0.253
Zr  0.385  0.282  0.753
Zr  0.615  0.718  0.247
Zr  0.718  0.615  0.747
Zr  0.945  0.055  0.250
Sc  0.014  0.654  0.249
Sc  0.346  0.986  0.251
Sc  0.654  0.014  0.749
Sc  0.986  0.346  0.751
Cd  0.319  0.681  0.750
Cd  0.681  0.319  0.250

The 10 most intense peaks (10 to 90 degrees two-theta), by angle:
3.017 Å, 29.61 deg, I 23
2.583 Å, 34.73 deg, I 71
2.551 Å, 35.18 deg, I 100
2.500 Å, 35.93 deg, I 50
2.449 Å, 36.69 deg, I 49
2.199 Å, 41.04 deg, I 19
1.749 Å, 52.29 deg, I 34
1.453 Å, 64.10 deg, I 16
1.427 Å, 65.38 deg, I 23
1.331 Å, 70.81 deg, I 24

---

No. 12
Zr3Sc6Cd: calculated powder diffractogram (Cu Kα), based on the GGA-PBE geometry in Alexandria.
Intensities are scaled so that the largest is 100.

a = 10.093 Å, b = 4.552 Å, c = 10.208 Å
α = 90.00°, β = 90.47°, γ = 90.00°
Sites, in units of the cell vectors:
Zr  0.048  0.250  0.399
Zr  0.149  0.750  0.205
Zr  0.248  0.250  0.012
Zr  0.752  0.750  0.988
Zr  0.851  0.250  0.795
Zr  0.952  0.750  0.601
Sc  0.050  0.750  0.898
Sc  0.149  0.250  0.698
Sc  0.249  0.750  0.499
Sc  0.347  0.750  0.810
Sc  0.348  0.250  0.304
Sc  0.449  0.750  0.100
Sc  0.551  0.250  0.900
Sc  0.652  0.750  0.696
Sc  0.653  0.250  0.190
Sc  0.751  0.250  0.501
Sc  0.851  0.750  0.302
Sc  0.950  0.250  0.102
Cd  0.450  0.250  0.601
Cd  0.550  0.750  0.399

The 10 most intense peaks (10 to 90 degrees two-theta), by angle:
4.509 Å, 19.69 deg, I 10
3.225 Å, 27.66 deg, I 9
2.623 Å, 34.18 deg, I 100
2.285 Å, 39.44 deg, I 16
2.276 Å, 39.59 deg, I 16
2.255 Å, 39.99 deg, I 16
1.613 Å, 57.12 deg, I 10
1.602 Å, 57.54 deg, I 15
1.374 Å, 68.25 deg, I 6
1.372 Å, 68.38 deg, I 12

---

No. 13
ZrSc2Cd4: calculated powder diffractogram (Cu Kα), based on the GGA-PBE geometry in Alexandria.
Intensities are scaled so that the largest is 100.

a = 4.868 Å, b = 20.983 Å, c = 3.043 Å
α = 90.00°, β = 90.00°, γ = 90.00°
Sites, in units of the cell vectors:
Zr  0.000  0.000  0.000
Zr  0.500  0.500  0.000
Sc  0.000  0.289  0.500
Sc  0.000  0.711  0.500
Sc  0.500  0.211  0.500
Sc  0.500  0.789  0.500
Cd  0.000  0.153  0.000
Cd  0.000  0.430  0.500
Cd  0.000  0.570  0.500
Cd  0.000  0.847  0.000
Cd  0.500  0.070  0.500
Cd  0.500  0.347  0.000
Cd  0.500  0.653  0.000
Cd  0.500  0.930  0.500

The 10 most intense peaks (10 to 90 degrees two-theta), by angle:
2.561 Å, 35.04 deg, I 100
2.552 Å, 35.16 deg, I 91
2.434 Å, 36.93 deg, I 43
2.295 Å, 39.25 deg, I 44
1.987 Å, 45.67 deg, I 16
1.670 Å, 54.99 deg, I 32
1.539 Å, 60.12 deg, I 14
1.428 Å, 65.36 deg, I 29
1.368 Å, 68.58 deg, I 16
1.307 Å, 72.31 deg, I 20